The following is a theoretical powder XRD pattern of HoScI2O2. It was derived from a crystal structure in OQMD, relaxed with GGA-PBE, using CuKα.

Cell and atoms:
```
HoScI2O2
1.0
9.8151 -1.9805 0.0000
9.8151 1.9805 0.0000
-0.7394 0.0000 7.4121
Ho Sc I O
2 2 4 4
Cartesian
3.7308 0.0000 0.8098 Ho
15.1600 0.0000 6.6023 Ho
3.5221 0.0000 4.5207 Sc
15.3687 0.0000 2.8915 Sc
1.3189 0.0000 2.6402 I
7.7473 0.0000 1.1417 I
11.1435 0.0000 6.2704 I
17.5719 0.0000 4.7719 I
4.3447 0.0000 6.4124 O
4.7651 0.0000 2.8661 O
14.1257 0.0000 4.5460 O
14.5462 0.0000 0.9997 O
```

Top 10 peaks for 10° ≤ 2θ ≤ 90°, in order of falling intensity:
2θ/deg, d_spacing, Rel. int.
26.12, 3.411, 100
31.73, 2.820, 81
28.78, 3.102, 80
29.58, 3.020, 54
33.60, 2.667, 49
32.18, 2.781, 40
43.00, 2.103, 38
45.82, 1.981, 36
34.83, 2.576, 35
56.80, 1.621, 32